For Rb2FeNF6, a GGA+U-relaxed structure gives the calculated X-ray diffraction stick pattern in this record (copper Kα).
Kinematic intensities with the Lorentz-polarization factor, no thermal factor.

Crystal structure
```
data_Rb2FeNF6
_space_group_name_H-M_alt 'I 4/m m m'
_space_group_IT_number 139
_space_group_name_Hall '-I 4 2'
_cell_length_a 5.5252
_cell_length_b 5.5252
_cell_length_c 10.3590
_cell_angle_alpha 90.00
_cell_angle_beta 90.00
_cell_angle_gamma 90.00
loop_
_atom_site_label
_atom_site_type_symbol
_atom_site_fract_x
_atom_site_fract_y
_atom_site_fract_z
Rb1 Rb 0.0000 0.5000 0.2500
Fe1 Fe 0.0000 0.0000 0.0000
N1 N 0.0000 0.0000 0.5000
F1 F 0.0000 0.0000 0.1850
F2 F 0.2459 0.2459 0.5000
```

Principal peaks in the range 5° ≤ 2θ ≤ 70°, low angle first:
d (Å), I/Imax, h k l
4.875, 22.1, 1 0 1
3.119, 100.0, 1 1 2
2.763, 31.8, 2 0 0
2.590, 32.5, 0 0 4
2.438, 44.3, 2 0 2
1.953, 33.3, 2 2 0
1.656, 29.4, 3 1 2
1.560, 23.8, 2 2 4